1.
The following is a calculated XRD peak list of Ag2S. It was derived from a DFT-relaxed cell (GGA-PBE, the Materials Project), using a wavelength of 1.5418 Å.
Neutral-atom scattering factors, no anomalous dispersion.

Crystal structure
a = 4.241 Å, b = 4.264 Å, c = 7.680 Å
α = 89.15°, β = 89.60°, γ = 68.38°
Space group P1 (No. 1)
One atom of each set of equivalent atoms:
1 Ag 0.000 0.000 0.000 (multiplicity 1)
2 Ag 0.008 0.006 0.501 (multiplicity 1)
3 Ag 0.399 0.405 0.268 (multiplicity 1)
4 Ag 0.614 0.607 0.733 (multiplicity 1)
5 S 0.222 0.211 0.752 (multiplicity 1)
6 S 0.788 0.797 0.254 (multiplicity 1)

Most intense lines, 2θ from 10° to 90°, sorted by position:
d (Å)  Position (°2θ)  Rel. int.
3.515  25.34  39
3.214  27.76  30
3.182  28.04  32
2.776  32.25  59
2.751  32.55  100
2.740  32.69  43
2.577  34.82  21
2.390  37.64  60
2.029  44.67  18
1.920  47.35  28

=====

2.
The following is a calculated XRD peak list of SrSb2. It was derived from a DFT-relaxed cell (GGA-PBE, the Materials Project), using a wavelength of 1.5418 Å.
Neutral-atom scattering factors, no anomalous dispersion.

Crystal structure
a = 4.955 Å, b = 4.379 Å, c = 9.187 Å
α = 90.00°, β = 101.75°, γ = 90.00°
Space group P2_1/m (No. 11)
One atom of each set of equivalent atoms:
1 Sr 0.093 0.250 0.210 (multiplicity 2)
2 Sb 0.313 0.750 0.521 (multiplicity 2)
3 Sb 0.444 0.250 0.887 (multiplicity 2)

Most intense lines, 2θ from 10° to 90°, sorted by position:
d (Å)  Position (°2θ)  Rel. int.
4.851  18.29  15
3.137  28.45  17
3.000  29.78  46
2.932  30.49  100
2.824  31.69  99
2.472  36.35  33
2.189  41.23  28
1.769  51.68  19
1.639  56.12  19
1.602  57.54  15

=====

3.
The following is a calculated XRD peak list of MnAl2S4. It was derived from a DFT-relaxed cell (GGA-PBE, the Materials Project), using a wavelength of 1.5418 Å.
Neutral-atom scattering factors, no anomalous dispersion.

Crystal structure
a = 3.6665 Å, b = 3.6665 Å, c = 36.8689 Å
α = 90.00°, β = 90.00°, γ = 120.00°
Space group R3m (No. 160, hexagonal axes)
One atom of each set of equivalent atoms:
1 Mn 0.0000 0.0000 0.0000 (multiplicity 3)
2 Al 0.0000 0.0000 0.5309 (multiplicity 3)
3 Al 0.0000 0.0000 0.7660 (multiplicity 3)
4 S 0.0000 0.0000 0.0674 (multiplicity 3)
5 S 0.0000 0.0000 0.4700 (multiplicity 3)
6 S 0.0000 0.0000 0.6410 (multiplicity 3)
7 S 0.0000 0.0000 0.8890 (multiplicity 3)

Most intense lines, 2θ from 10° to 90°, sorted by position:
d (Å)  Position (°2θ)  Rel. int.
4.097  21.69  80
3.164  28.21  41
3.129  28.52  100
2.719  32.94  33
2.615  34.30  57
2.305  39.08  37
2.115  42.75  30
1.833  49.74  94
1.791  50.99  70
1.673  54.87  32

=====

What did the third record say?
The following is a calculated XRD peak list of MnAl2S4. It was derived from a DFT-relaxed cell (GGA-PBE, the Materials Project), using a wavelength of 1.5418 Å.
Neutral-atom scattering factors, no anomalous dispersion.

Crystal structure
a = 3.6665 Å, b = 3.6665 Å, c = 36.8689 Å
α = 90.00°, β = 90.00°, γ = 120.00°
Space group R3m (No. 160, hexagonal axes)
One atom of each set of equivalent atoms:
1 Mn 0.0000 0.0000 0.0000 (multiplicity 3)
2 Al 0.0000 0.0000 0.5309 (multiplicity 3)
3 Al 0.0000 0.0000 0.7660 (multiplicity 3)
4 S 0.0000 0.0000 0.0674 (multiplicity 3)
5 S 0.0000 0.0000 0.4700 (multiplicity 3)
6 S 0.0000 0.0000 0.6410 (multiplicity 3)
7 S 0.0000 0.0000 0.8890 (multiplicity 3)

Most intense lines, 2θ from 10° to 90°, sorted by position:
d (Å)  Position (°2θ)  Rel. int.
4.097  21.69  80
3.164  28.21  41
3.129  28.52  100
2.719  32.94  33
2.615  34.30  57
2.305  39.08  37
2.115  42.75  30
1.833  49.74  94
1.791  50.99  70
1.673  54.87  32